Diffraction record for NiHF4. The XRD peak list is theoretical, not measured: it uses a cell relaxed with PBE+U and λ = 1.5418 Å (Cu Kα).
Lines closer than 0.1° are merged.

Principal peaks in the range 10° ≤ 2θ ≤ 80°, in order of rising 2θ:
(0 1 0), 2θ = 17.6°, 5.027 Å, I 1000
(1 0 1), 2θ = 25.5°, 3.488 Å, I 682
(1 1 1), 2θ = 31.2°, 2.866 Å, I 713
(2 0 0), 2θ = 32.5°, 2.752 Å, I 178
(0 2 1), 2θ = 41.1°, 2.195 Å, I 136
(2 1 1), 2θ = 42.5°, 2.128 Å, I 331
(1 2 1), 2θ = 44.4°, 2.039 Å, I 248
(0 2 2), 2θ = 54.7°, 1.678 Å, I 212
(2 1 2), 2θ = 55.8°, 1.648 Å, I 273
(2 3 0), 2θ = 65.1°, 1.432 Å, I 253

Cell and atoms:
abc: 5.5047 5.0266 4.5091
angles: 90.00 90.00 90.00
Positions (direct):
Ni 0.0000 0.0094 0.0000
Ni 0.5000 0.9906 0.5000
H 0.0000 0.7282 0.5423
H 0.5000 0.2718 0.0423
F 0.0000 0.2954 0.2188
F 0.0000 0.6937 0.7561
F 0.2348 0.8410 0.2669
F 0.2652 0.1590 0.7669
F 0.5000 0.3063 0.2561
F 0.5000 0.7046 0.7188
F 0.7348 0.1590 0.7669
F 0.7652 0.8410 0.2669